[1]
The following is a computed X-ray powder pattern of Y6Al2Pd. It was derived from a crystal structure in Alexandria, relaxed with PBE, using Cu Kα (λ = 1.5418 Å).
Kinematic intensities with the Lorentz-polarization factor, no thermal factor.

The 10 most intense peaks (15° ≤ 2θ ≤ 90°), in order of rising 2θ:
18.1 deg, d 4.903, rel. 8; 32.8 deg, d 2.732, rel. 100; 32.9 deg, d 2.720, rel. 19; 34.1 deg, d 2.632, rel. 23; 36.1 deg, d 2.489, rel. 29; 39.0 deg, d 2.311, rel. 21; 42.1 deg, d 2.146, rel. 13; 49.6 deg, d 1.836, rel. 12; 54.1 deg, d 1.694, rel. 16; 62.8 deg, d 1.480, rel. 26

Atomic structure:
```
18
Lattice="9.806 0.000 0.000 0.000 9.806 0.000 0.000 0.000 4.978" Properties=species:S:1:pos:R:3 pbc="T T T"
Y 0.284 3.013 0.000
Y 1.166 8.640 2.489
Y 1.891 5.187 2.489
Y 3.013 0.284 0.000
Y 3.737 3.737 0.000
Y 4.620 7.916 2.489
Y 5.187 1.891 2.489
Y 6.070 6.070 0.000
Y 6.794 9.523 0.000
Y 7.916 4.620 2.489
Y 8.640 1.166 2.489
Y 9.523 6.794 0.000
Al 2.049 2.049 2.489
Al 2.854 6.952 0.000
Al 6.952 2.854 0.000
Al 7.757 7.757 2.489
Pd 0.000 0.000 0.000
Pd 4.903 4.903 2.489
```

=====

[2]
The following is a computed X-ray powder pattern of Tl10Bi4Au. It was derived from a crystal structure in Alexandria, relaxed with PBE, using Cu Kα (λ = 1.5418 Å).
Kinematic intensities with the Lorentz-polarization factor, no thermal factor.

The 10 most intense peaks (15° ≤ 2θ ≤ 90°), in order of rising 2θ:
20.4 deg, d 4.361, rel. 27; 23.6 deg, d 3.770, rel. 9; 33.6 deg, d 2.671, rel. 100; 39.6 deg, d 2.275, rel. 10; 48.0 deg, d 1.895, rel. 6; 48.3 deg, d 1.885, rel. 12; 59.9 deg, d 1.545, rel. 12; 60.1 deg, d 1.541, rel. 24; 70.5 deg, d 1.337, rel. 7; 80.5 deg, d 1.193, rel. 10

Atomic structure:
```
15
Lattice="-5.961 5.961 3.790 5.961 -5.961 3.790 5.961 5.961 -3.790" Properties=species:S:1:pos:R:3 pbc="T T T"
Tl 4.828 3.707 -1.995
Tl 2.255 -1.133 1.795
Tl 5.961 0.000 1.895
Tl 3.707 7.094 -1.995
Tl 1.133 2.255 1.795
Tl 4.828 3.707 1.995
Tl 2.255 -1.133 5.785
Tl 0.000 5.961 1.895
Tl 3.707 7.094 1.995
Tl 1.133 2.255 5.785
Bi 7.177 2.407 0.000
Bi 2.407 4.745 0.000
Bi 3.554 1.216 3.790
Bi -1.216 3.554 3.790
Au 0.000 0.000 0.000
```

=====

[3]
The following is a computed X-ray powder pattern of Y4CuBr5. It was derived from a crystal structure in Alexandria, relaxed with PBE, using Cu Kα (λ = 1.5418 Å).
Kinematic intensities with the Lorentz-polarization factor, no thermal factor.

The 10 most intense peaks (15° ≤ 2θ ≤ 90°), in order of rising 2θ:
30.1 deg, d 2.972, rel. 49; 30.9 deg, d 2.895, rel. 100; 42.6 deg, d 2.125, rel. 19; 43.4 deg, d 2.085, rel. 35; 43.9 deg, d 2.063, rel. 32; 45.9 deg, d 1.977, rel. 17; 52.6 deg, d 1.741, rel. 9; 53.4 deg, d 1.716, rel. 9; 55.8 deg, d 1.646, rel. 17; 64.4 deg, d 1.447, rel. 12

Atomic structure:
```
10
Lattice="9.136 -1.977 0.000 9.136 1.977 0.000 -1.849 0.000 8.296" Properties=species:S:1:pos:R:3 pbc="T T T"
Y -0.396 0.000 1.850
Y 4.692 0.000 7.644
Y 11.730 0.000 0.652
Y 16.818 0.000 6.446
Cu 9.136 0.000 0.000
Br 2.439 0.000 2.785
Br 1.676 0.000 6.933
Br 8.211 0.000 4.148
Br 14.745 0.000 1.363
Br 13.983 0.000 5.511
```